(1)
Diffraction record for Cd4Cu6F19. The powder diffractogram is simulated, not measured: it uses a cell relaxed with GGA-PBE and λ = 1.5418 Å (Cu Kα).
Peak positions follow from Bragg's law for the DFT cell and can differ from measured ones.

Structural model:
Cell lengths 9.1507, 9.1507, 9.1507 Å; angles 90.00, 90.00, 90.00 degrees
Space group I23 (No. 197)
Symmetry-distinct sites (fractional):
Cd 0.1453 0.1453 0.8547 x8
Cu 0.0000 0.3321 0.5000 x12
F 0.0000 0.0000 0.0000 x2
F 0.0000 0.0000 0.3092 x12
F 0.0526 0.3227 0.7027 x24

Top 8 peaks for 2θ = 15–90°, in order of rising 2θ:
| Position (°2θ) | Rel. int. |
| --- | --- |
| 23.82 | 100 |
| 30.90 | 80 |
| 33.94 | 43 |
| 36.75 | 40 |
| 41.88 | 36 |
| 50.88 | 54 |
| 54.96 | 38 |
| 60.73 | 24 |

***

(2)
Diffraction record for Nd4PdPb. The powder diffractogram is simulated, not measured: it uses a cell relaxed with GGA-PBE and λ = 1.5418 Å (Cu Kα).
Peak positions follow from Bragg's law for the DFT cell and can differ from measured ones.

Structural model:
Cell lengths 8.9784, 14.5579, 6.0035 Å; angles 90.00, 112.96, 90.00 degrees
Space group C2/c (No. 15)
Symmetry-distinct sites (fractional):
Nd 0.1129 0.1910 0.0725 x8
Nd 0.2190 0.4233 0.3494 x8
Pd 0.0000 0.0025 0.7500 x4
Pb 0.0000 0.3826 0.7500 x4

Top 8 peaks for 2θ = 15–90°, in order of rising 2θ:
| Position (°2θ) | Rel. int. |
| --- | --- |
| 29.20 | 48 |
| 29.38 | 28 |
| 30.46 | 42 |
| 30.70 | 73 |
| 32.61 | 100 |
| 34.05 | 75 |
| 35.20 | 36 |
| 53.65 | 30 |